No. 1
Starting from a structure optimized by DFT (PBE), the PXRD pattern of PuTl2GaO6 was calculated for Cu Kα, 1.54184 Å.
Intensities are scaled so that the largest is 100.

Structural model:
Lattice parameters (Å, degrees): 6.0155 6.0155 29.4983 90.00 90.00 120.00
Space group R-3m (No. 166, hexagonal axes)
Asymmetric unit:
Pu1 0.0000 0.0000 0.0928
Tl1 0.0000 0.0000 0.2158
Tl2 0.0000 0.0000 0.3646
Ga1 0.0000 0.0000 0.0000
Ga2 0.0000 0.0000 0.5000
O1 0.0009 0.5005 0.2051
O2 0.0412 0.5206 0.6209

Main lines, by intensity (2θ = 10–80°):
2θ/deg	I (rel.)	hkl
29.70	100	1 1 0
27.22	70	1 0 7
40.72	44	0 2 7
52.70	26	3 0 0
51.21	22	2 1 7
61.67	17	2 2 0
46.50	14	0 1 14
68.67	13	1 3 7

---

No. 2
Starting from a structure optimized by DFT (PBE), the PXRD pattern of PrHgBi was calculated for Cu Kα, 1.54184 Å.
Intensities are scaled so that the largest is 100.

Structural model:
Lattice parameters (Å, degrees): 6.517 6.518 8.855 90.00 90.35 90.00
Space group C2/m (No. 12)
Asymmetric unit:
Pr1 0.248 0.000 0.310
Hg1 0.000 0.250 0.000
Bi1 0.248 0.500 0.323

Main lines, by intensity (2θ = 10–80°):
2θ/deg	I (rel.)	hkl
34.13	100	0 2 2
29.18	97	2 0 -1
39.09	76	2 2 0
30.28	70	0 0 3
50.12	35	2 2 -3
50.34	34	2 2 3
34.27	34	2 0 2
29.26	31	2 0 1

---

No. 3
Starting from a structure optimized by DFT (PBE), the PXRD pattern of PrHo6Tm3 was calculated for Cu Kα, 1.54184 Å.
Intensities are scaled so that the largest is 100.

Structural model:
Lattice parameters (Å, degrees): 9.7305 9.7305 11.7239 90.00 90.00 120.00
Space group R3 (No. 146, hexagonal axes)
Asymmetric unit:
Pr1 0.0000 0.0000 0.0000
Ho1 0.0018 0.6678 0.1646
Ho2 0.0032 0.3344 0.3317
Tm1 0.0000 0.0000 0.2561
Tm2 0.0000 0.0000 0.5012
Tm3 0.0000 0.0000 0.7482

Main lines, by intensity (2θ = 10–80°):
2θ/deg	I (rel.)	hkl
31.86	100	3 0 0
29.31	67	2 -1 3
55.20	23	5 -1 3
43.84	23	2 2 3
56.77	20	3 3 0
41.89	15	3 -1 4
32.34	15	1 0 4
57.45	13	3 0 6

---

No. 4
Starting from a structure optimized by DFT (PBE), the PXRD pattern of Pu7SeBr12 was calculated for Cu Kα, 1.54184 Å.
Intensities are scaled so that the largest is 100.

Structural model:
Lattice parameters (Å, degrees): 15.1079 15.1079 10.2760 90.00 90.00 120.00
Space group R-3 (No. 148, hexagonal axes)
Asymmetric unit:
Pu1 0.0000 0.0000 0.0000
Pu2 0.0500 0.8726 0.3375
Se1 0.0000 0.0000 0.5000
Br1 0.0237 0.4358 0.1647
Br2 0.0502 0.8715 0.8331

Main lines, by intensity (2θ = 10–80°):
2θ/deg	I (rel.)	hkl
30.15	100	4 -1 2
43.16	75	5 2 0
11.72	35	1 1 0
71.12	34	9 1 2
53.55	26	2 6 2
79.14	19	6 5 4
16.06	16	0 2 1
10.95	14	1 0 1

---

No. 5
Starting from a structure optimized by DFT (PBE), the PXRD pattern of TbPmTaO6 was calculated for Cu Kα, 1.54184 Å.
Intensities are scaled so that the largest is 100.

Structural model:
Lattice parameters (Å, degrees): 5.118 5.118 10.275 90.00 90.00 90.00
Space group P4_2nm (No. 102)
Asymmetric unit:
Tb1 0.000 0.000 0.000
Pm1 0.000 0.000 0.663
Ta1 0.000 0.000 0.330
O1 0.181 0.181 0.183
O2 0.188 0.188 0.474
O3 0.221 0.221 0.836

Main lines, by intensity (2θ = 10–80°):
2θ/deg	I (rel.)	hkl
24.60	100	1 1 0
31.43	89	1 0 3
47.79	69	2 1 3
35.06	27	2 0 0
60.64	20	3 0 3
56.89	17	3 1 0
50.43	17	2 2 0
59.74	17	1 1 6

---

No. 6
Starting from a structure optimized by DFT (PBE), the PXRD pattern of TbErTh6 was calculated for Cu Kα, 1.54184 Å.
Intensities are scaled so that the largest is 100.

Structural model:
Lattice parameters (Å, degrees): 6.001 6.001 14.342 90.00 90.00 90.00
Space group I4/mmm (No. 139)
Asymmetric unit:
Tb1 0.000 0.000 0.000
Er1 0.000 0.000 0.500
Th1 0.000 0.000 0.250
Th2 0.000 0.500 0.128

Main lines, by intensity (2θ = 10–80°):
2θ/deg	I (rel.)	hkl
32.70	100	1 1 4
29.78	64	2 0 0
54.73	48	3 1 4
42.61	25	2 2 0
60.12	18	2 0 8
68.52	12	2 2 8
70.13	12	4 2 0
71.74	11	3 3 4